# 1
# HfB2H6
Calculated PXRD pattern, Cu Kα X-rays. Input: a crystal structure in Alexandria, relaxed with GGA-PBE.

```
data_HfB2H6
_cell_length_a 6.257
_cell_length_b 6.257
_cell_length_c 6.257
_cell_angle_alpha 90.00
_cell_angle_beta 90.00
_cell_angle_gamma 90.00
_symmetry_space_group_name_H-M 'F m -3 m'
_symmetry_Int_Tables_number 225
_symmetry_space_group_name_Hall '-F 4 2 3'
loop_
_atom_site_label
_atom_site_type_symbol
_atom_site_fract_x
_atom_site_fract_y
_atom_site_fract_z
Hf1 Hf 0.000 0.000 0.000
B1 B 0.250 0.250 0.250
H1 H 0.000 0.000 0.304
```

Largest 11 diffraction maxima, by angle, 2θ = 15–90°:
h k l, 2θ (°), I/Imax
1 1 1, 24.64, 100
2 0 0, 28.53, 46
2 2 0, 40.79, 49
3 1 1, 48.24, 52
2 2 2, 50.53, 12
4 0 0, 59.05, 9
3 3 1, 64.96, 22
4 2 0, 66.87, 17
4 2 2, 74.25, 17
3 3 3, 79.61, 16
4 4 0, 88.37, 6

---

# 2
# Sm3SiBr3
Calculated PXRD pattern, Cu Kα X-rays. Input: a crystal structure in Alexandria, relaxed with GGA-PBE.

```
data_Sm3SiBr3
_cell_length_a 11.867
_cell_length_b 11.867
_cell_length_c 11.867
_cell_angle_alpha 90.00
_cell_angle_beta 90.00
_cell_angle_gamma 90.00
_symmetry_space_group_name_H-M 'I 41 3 2'
_symmetry_Int_Tables_number 214
_symmetry_space_group_name_Hall 'I 4bd 2c 3'
loop_
_atom_site_label
_atom_site_type_symbol
_atom_site_fract_x
_atom_site_fract_y
_atom_site_fract_z
Sm1 Sm 0.114 0.364 0.125
Si1 Si 0.125 0.125 0.125
Br1 Br 0.120 0.130 0.625
```

Largest 12 diffraction maxima, by angle, 2θ = 15–90°:
h k l, 2θ (°), I/Imax
2 1 1, 18.31, 14
2 2 2, 26.01, 10
3 2 1, 28.14, 30
4 0 0, 30.12, 100
3 3 2, 35.48, 15
4 4 0, 43.12, 71
4 4 4, 53.50, 24
7 2 1, 57.03, 12
7 3 2, 61.53, 10
8 0 0, 62.62, 11
8 4 0, 71.05, 29
8 4 4, 79.06, 21

---

# 3
# LaPmNd2Dy5
Calculated PXRD pattern, Cu Kα X-rays. Input: a crystal structure in Alexandria, relaxed with GGA-PBE.

```
data_LaPmNd2Dy5
_cell_length_a 8.762
_cell_length_b 8.762
_cell_length_c 15.724
_cell_angle_alpha 90.00
_cell_angle_beta 90.00
_cell_angle_gamma 90.00
_symmetry_space_group_name_H-M 'I 4/m c m'
_symmetry_Int_Tables_number 140
_symmetry_space_group_name_Hall '-I 4 2c'
loop_
_atom_site_label
_atom_site_type_symbol
_atom_site_fract_x
_atom_site_fract_y
_atom_site_fract_z
La1 La 0.000 0.000 0.250
Pm1 Pm 0.000 0.500 0.250
Nd1 Nd 0.118 0.382 0.000
Dy1 Dy 0.000 0.000 0.000
Dy2 Dy 0.208 0.292 0.364
```

Largest 12 diffraction maxima, by angle, 2θ = 15–90°:
h k l, 2θ (°), I/Imax
2 1 3, 28.44, 50
2 2 0, 28.82, 50
2 0 4, 30.55, 100
3 1 0, 32.31, 14
0 0 6, 34.29, 15
2 1 5, 36.64, 13
3 2 1, 37.44, 16
4 0 2, 42.91, 20
0 0 8, 46.14, 24
4 2 4, 52.16, 21
2 2 8, 55.33, 19
4 1 7, 59.92, 9

---

# 4
# Tb3BiP2Rh9
Calculated PXRD pattern, Cu Kα X-rays. Input: a crystal structure in Alexandria, relaxed with GGA-PBE.

```
data_Tb3BiP2Rh9
_cell_length_a 6.0543
_cell_length_b 6.0543
_cell_length_c 9.4815
_cell_angle_alpha 90.00
_cell_angle_beta 90.00
_cell_angle_gamma 120.00
_symmetry_space_group_name_H-M 'P -3 m 1'
_symmetry_Int_Tables_number 164
_symmetry_space_group_name_Hall '-P 3 2"'
loop_
_atom_site_label
_atom_site_type_symbol
_atom_site_fract_x
_atom_site_fract_y
_atom_site_fract_z
Tb1 Tb 0.0000 0.0000 0.0000
Tb2 Tb 0.3333 0.6667 0.7357
Bi1 Bi 0.0000 0.0000 0.5000
P1 P 0.3333 0.6667 0.1567
Rh1 Rh 0.0000 0.5000 0.0000
Rh2 Rh 0.1512 0.3024 0.2660
```

Largest 12 diffraction maxima, by angle, 2θ = 15–90°:
h k l, 2θ (°), I/Imax
1 0 0, 16.91, 18
0 1 1, 19.35, 17
0 1 2, 25.33, 15
0 2 1, 35.53, 64
0 0 4, 37.96, 31
2 0 2, 39.27, 100
2 0 3, 44.92, 32
1 2 2, 49.88, 16
0 2 5, 60.23, 17
2 2 0, 61.24, 27
2 0 6, 69.44, 19
2 2 4, 74.36, 24

---

# 5
# Ca4Al
Calculated PXRD pattern, Cu Kα X-rays. Input: a crystal structure in Alexandria, relaxed with GGA-PBE.

```
data_Ca4Al
_cell_length_a 7.494
_cell_length_b 7.494
_cell_length_c 6.758
_cell_angle_alpha 90.00
_cell_angle_beta 90.00
_cell_angle_gamma 90.00
_symmetry_space_group_name_H-M 'P 4/m c c'
_symmetry_Int_Tables_number 124
_symmetry_space_group_name_Hall '-P 4 2c'
loop_
_atom_site_label
_atom_site_type_symbol
_atom_site_fract_x
_atom_site_fract_y
_atom_site_fract_z
Ca1 Ca 0.170 0.320 0.000
Al1 Al 0.000 0.000 0.250
```

Largest 12 diffraction maxima, by angle, 2θ = 15–90°:
h k l, 2θ (°), I/Imax
2 0 0, 23.74, 16
0 0 2, 26.37, 24
2 1 1, 29.75, 100
1 1 2, 31.40, 11
2 2 0, 33.83, 8
2 0 2, 35.78, 31
3 1 0, 37.97, 18
2 1 3, 48.70, 23
3 3 0, 51.75, 6
4 1 1, 52.11, 24
3 3 2, 59.00, 15
4 1 3, 66.04, 11

---

# 6
# Nb5Re4Rh
Calculated PXRD pattern, Cu Kα X-rays. Input: a crystal structure in Alexandria, relaxed with GGA-PBE.

```
data_Nb5Re4Rh
_cell_length_a 3.214
_cell_length_b 3.214
_cell_length_c 15.981
_cell_angle_alpha 90.00
_cell_angle_beta 90.00
_cell_angle_gamma 90.00
_symmetry_space_group_name_H-M 'P 4/m m m'
_symmetry_Int_Tables_number 123
_symmetry_space_group_name_Hall '-P 4 2'
loop_
_atom_site_label
_atom_site_type_symbol
_atom_site_fract_x
_atom_site_fract_y
_atom_site_fract_z
Nb1 Nb 0.000 0.000 0.000
Nb2 Nb 0.000 0.000 0.200
Nb3 Nb 0.000 0.000 0.398
Re1 Re 0.500 0.500 0.100
Re2 Re 0.500 0.500 0.302
Rh1 Rh 0.500 0.500 0.500
```

Largest 12 diffraction maxima, by angle, 2θ = 15–90°:
h k l, 2θ (°), I/Imax
1 0 0, 27.76, 9
0 0 5, 27.92, 5
1 1 0, 39.66, 50
1 0 5, 39.77, 100
1 1 5, 49.19, 4
2 0 0, 57.33, 17
0 0 10, 57.69, 8
2 1 0, 64.91, 4
2 1 5, 72.04, 34
1 1 10, 72.28, 17
2 2 0, 85.44, 6
2 0 10, 85.74, 11